This entry pairs a crystal structure of CeDyPa2Ir4 with its computed PXRD pattern. Radiation: Cu Kα X-rays. Structure: a cell relaxed with GGA-PBE.
Neutral-atom scattering factors, no anomalous dispersion.

Most intense lines, 15° ≤ 2θ ≤ 90°, low angle first:
d/Å  I (rel.)  hkl
2.828  100  2 0 2
2.784  61  0 4 0
2.521  21  2 2 2
2.081  15  0 0 4
1.984  73  2 4 2
1.950  14  0 2 4
1.927  15  4 0 0
1.667  16  0 4 4
1.584  16  4 4 0
1.249  16  2 8 2

Structural model:
```
data_CeDyPa2Ir4
_cell_length_a 7.7061
_cell_length_b 11.1375
_cell_length_c 8.3257
_cell_angle_alpha 90.00
_cell_angle_beta 90.00
_cell_angle_gamma 90.00
_space_group_name_H-M_alt 'F m m 2'
_space_group_IT_number 42
_space_group_name_Hall 'F 2 -2'
loop_
_atom_site_label
_atom_site_fract_x
_atom_site_fract_y
_atom_site_fract_z
Ce1 0.0000 0.0000 0.0000
Dy1 0.0000 0.0000 0.4252
Pa1 0.2500 0.2500 0.2657
Ir1 0.0000 0.2430 0.5175
Ir2 0.2003 0.0000 0.7207
```